# 1
# SrCoP2O7
Computed powder diffraction line list, Cu Kα (λ = 1.5418 Å). Input: a DFT-relaxed cell (GGA+U, Alexandria).

Largest 10 diffraction maxima, sorted by position, 2θ = 10–90°:
2θ (°)	d_spacing	I/Imax
12.64	7.004	32
26.44	3.371	100
27.04	3.297	67
27.94	3.194	34
28.69	3.112	60
30.47	2.934	41
32.97	2.717	40
33.26	2.694	50
43.42	2.084	46
45.21	2.006	39

Structure:
```
SrCoP2O7
1.0
5.3874 0.0000 0.0000
0.0000 8.3376 0.0000
-5.3211 0.0000 12.9119
Sr Co P O
4 4 8 28
Cartesian
-1.1333 1.3659 2.8693 Sr
-3.7938 2.8029 9.3252 Sr
3.8601 5.5347 3.5867 Sr
1.1996 6.9717 10.0426 Sr
-1.6783 5.4212 7.8070 Co
0.9822 7.0852 1.3510 Co
-0.9159 1.2524 11.5609 Co
1.7446 2.9164 5.1049 Co
1.6802 1.6714 0.2626 P
-0.9803 2.4974 6.7185 P
-1.2928 0.2892 8.6245 P
1.3678 3.8796 2.1686 P
-1.3014 4.4581 10.7433 P
1.3591 8.0484 4.2874 P
1.0466 5.8402 6.1934 P
-1.6139 6.6662 12.6493 P
-4.2576 1.5823 11.7724 O
-1.5970 2.5865 5.3164 O
-2.7088 0.4883 9.1504 O
-0.0482 3.6805 2.6944 O
0.9071 0.8069 1.2869 O
-1.7534 3.3619 7.7428 O
-2.3639 5.1501 9.8625 O
0.2967 7.3564 3.4065 O
-1.2211 0.9501 7.1475 O
1.4394 3.2187 0.6915 O
-0.4674 5.5755 6.1208 O
-3.1279 6.9309 12.5768 O
1.7661 5.3443 1.9824 O
-0.8944 7.1621 8.4384 O
0.9607 1.1755 4.4735 O
-1.6998 2.9933 10.9295 O
3.1942 1.4067 0.3351 O
0.5337 2.7621 6.7911 O
-1.3731 5.1189 12.2204 O
1.2874 7.3875 5.7645 O
-0.2304 0.9812 9.5054 O
2.4302 3.1876 3.0494 O
1.8197 4.9758 5.1691 O
-0.8408 7.5307 11.6250 O
0.1145 4.6571 10.2175 O
2.7751 7.8493 3.7615 O
1.6633 5.7511 7.5955 O
4.3239 6.7553 1.1395 O
```

# 2
# SrZnCoP2O8
Computed powder diffraction line list, Cu Kα (λ = 1.5418 Å). Input: a DFT-relaxed cell (GGA+U, Alexandria).

Largest 10 diffraction maxima, sorted by position, 2θ = 10–90°:
2θ (°)	d_spacing	I/Imax
10.47	8.452	21
27.73	3.217	100
29.26	3.052	27
30.50	2.930	63
31.59	2.832	46
32.87	2.725	38
33.35	2.687	40
33.87	2.646	26
46.20	1.965	22
50.31	1.814	24

Structure:
```
SrZnCoP2O8
1.0
5.5054 0.0000 0.0000
-0.9616 6.9047 0.0000
-1.9749 -3.6130 8.4524
Sr Zn Co P O
2 2 2 4 16
Cartesian
0.9781 1.8796 0.4275 Sr
1.5907 1.4122 8.0248 Sr
-0.7712 -0.4604 3.0087 Zn
3.3400 3.7521 5.4437 Zn
0.5306 2.9083 3.7318 Co
2.0382 0.3834 4.7205 Co
-0.9797 0.7736 5.9119 P
0.8307 5.5296 1.9692 P
1.7381 -2.2379 6.4832 P
3.5486 2.5181 2.5405 P
-1.3869 -0.3734 4.9084 O
3.9557 3.6652 3.5439 O
-0.6980 1.5539 2.5666 O
-0.0389 6.1430 0.8555 O
-0.7542 0.3004 7.3397 O
0.2481 -2.6635 6.6627 O
0.7356 3.9902 2.0034 O
1.1831 -0.8056 3.3233 O
0.2896 1.5058 5.3606 O
2.2792 1.7859 3.0917 O
1.3857 4.0973 5.1291 O
1.8333 -0.6984 6.4490 O
2.3207 5.9552 1.7897 O
3.3230 2.9913 1.1127 O
2.6078 -2.8513 7.5969 O
3.2668 1.7378 5.8858 O
```

# 3
# TiCoP2O8
Computed powder diffraction line list, Cu Kα (λ = 1.5418 Å). Input: a DFT-relaxed cell (GGA+U, Alexandria).

Largest 10 diffraction maxima, sorted by position, 2θ = 10–90°:
2θ (°)	d_spacing	I/Imax
20.69	4.292	82
24.40	3.648	100
25.45	3.500	20
32.14	2.785	17
33.26	2.694	65
36.25	2.478	33
47.71	1.906	33
50.01	1.824	23
56.75	1.622	24
57.05	1.614	17

Structure:
```
TiCoP2O8
1.0
4.2925 2.4783 6.9189
-4.2925 2.4783 6.9189
0.0000 -4.9565 6.9189
Ti Co P O
3 3 6 24
Cartesian
0.0000 0.0000 0.0000 Ti
0.0000 0.0000 4.4937 Ti
0.0000 0.0000 14.8368 Ti
0.0000 0.0000 7.4427 Co
0.0000 0.0000 10.3248 Co
0.0000 0.0000 17.8161 Co
-3.0007 0.3072 9.1674 P
-1.2438 -2.1279 12.5565 P
1.2343 -2.7522 9.1674 P
-1.2209 2.1411 12.5565 P
1.7664 2.4451 9.1674 P
2.4647 -0.0132 12.5565 P
-3.5036 1.0574 7.9142 O
-0.9378 -1.2130 5.7991 O
-2.7870 -2.3602 12.5170 O
-3.4500 1.0869 10.4183 O
0.8361 -3.5629 7.9142 O
-1.4671 0.1978 9.0077 O
-0.5816 1.4187 5.7991 O
-0.8858 -1.3989 11.2850 O
0.7837 -3.5313 10.4183 O
0.5622 -1.3695 9.0077 O
1.5194 -0.2056 5.7991 O
-0.8404 -1.3606 13.8424 O
-0.7686 1.4666 11.2850 O
-1.5167 -0.1248 16.1980 O
0.9049 1.1717 9.0077 O
-0.7581 1.4082 13.8424 O
1.6544 -0.0677 11.2850 O
-0.6505 3.5937 12.5170 O
0.8665 -1.2511 16.1980 O
1.5986 -0.0475 13.8424 O
2.6675 2.5055 7.9142 O
3.4375 -1.2335 12.5170 O
0.6502 1.3759 16.1980 O
2.6663 2.4443 10.4183 O
```

Please write out number 1 again, unchanged.
# SrCoP2O7
Computed powder diffraction line list, Cu Kα (λ = 1.5418 Å). Input: a DFT-relaxed cell (GGA+U, Alexandria).

Largest 10 diffraction maxima, sorted by position, 2θ = 10–90°:
2θ (°)	d_spacing	I/Imax
12.64	7.004	32
26.44	3.371	100
27.04	3.297	67
27.94	3.194	34
28.69	3.112	60
30.47	2.934	41
32.97	2.717	40
33.26	2.694	50
43.42	2.084	46
45.21	2.006	39

Structure:
```
SrCoP2O7
1.0
5.3874 0.0000 0.0000
0.0000 8.3376 0.0000
-5.3211 0.0000 12.9119
Sr Co P O
4 4 8 28
Cartesian
-1.1333 1.3659 2.8693 Sr
-3.7938 2.8029 9.3252 Sr
3.8601 5.5347 3.5867 Sr
1.1996 6.9717 10.0426 Sr
-1.6783 5.4212 7.8070 Co
0.9822 7.0852 1.3510 Co
-0.9159 1.2524 11.5609 Co
1.7446 2.9164 5.1049 Co
1.6802 1.6714 0.2626 P
-0.9803 2.4974 6.7185 P
-1.2928 0.2892 8.6245 P
1.3678 3.8796 2.1686 P
-1.3014 4.4581 10.7433 P
1.3591 8.0484 4.2874 P
1.0466 5.8402 6.1934 P
-1.6139 6.6662 12.6493 P
-4.2576 1.5823 11.7724 O
-1.5970 2.5865 5.3164 O
-2.7088 0.4883 9.1504 O
-0.0482 3.6805 2.6944 O
0.9071 0.8069 1.2869 O
-1.7534 3.3619 7.7428 O
-2.3639 5.1501 9.8625 O
0.2967 7.3564 3.4065 O
-1.2211 0.9501 7.1475 O
1.4394 3.2187 0.6915 O
-0.4674 5.5755 6.1208 O
-3.1279 6.9309 12.5768 O
1.7661 5.3443 1.9824 O
-0.8944 7.1621 8.4384 O
0.9607 1.1755 4.4735 O
-1.6998 2.9933 10.9295 O
3.1942 1.4067 0.3351 O
0.5337 2.7621 6.7911 O
-1.3731 5.1189 12.2204 O
1.2874 7.3875 5.7645 O
-0.2304 0.9812 9.5054 O
2.4302 3.1876 3.0494 O
1.8197 4.9758 5.1691 O
-0.8408 7.5307 11.6250 O
0.1145 4.6571 10.2175 O
2.7751 7.8493 3.7615 O
1.6633 5.7511 7.5955 O
4.3239 6.7553 1.1395 O
```